(1)
This entry pairs a crystal structure of Ba3AcLa3Se8 with its simulated powder X-ray diffraction pattern. Radiation: copper Kα. Structure: a crystal structure in Alexandria, relaxed with GGA-PBE.
Kinematic intensities with the Lorentz-polarization factor, no thermal factor.

Main lines, in order of falling intensity (10° ≤ 2θ ≤ 90°):
| index | d_spacing | Position (°2θ) | I/Imax |
| --- | --- | --- | --- |
| 0 2 4 | 3.183 | 28.03 | 100 |
| 2 0 8 | 2.282 | 39.49 | 38 |
| 2 2 0 | 2.221 | 40.62 | 37 |
| 4 0 4 | 1.822 | 50.07 | 20 |
| 2 4 4 | 1.409 | 66.37 | 17 |
| 2 2 12 | 1.439 | 64.77 | 16 |

Structural model:
a b c (Å): 8.8850 8.8850 22.6773
angles (deg): 90.00 90.00 120.00
Space group R-3m (No. 166, hexagonal axes)
One atom of each set of equivalent atoms:
Ba 0.0000 0.5000 0.0000 (multiplicity 9)
Ac 0.0000 0.0000 0.5000 (multiplicity 3)
La 0.0000 0.5000 0.5000 (multiplicity 9)
Se 0.0000 0.0000 0.2421 (multiplicity 6)
Se 0.0061 0.5030 0.7583 (multiplicity 18)


(2)
This entry pairs a crystal structure of PmMgAlBi with its simulated powder X-ray diffraction pattern. Radiation: copper Kα. Structure: a crystal structure in Alexandria, relaxed with GGA-PBE.
Kinematic intensities with the Lorentz-polarization factor, no thermal factor.

Main lines, in order of falling intensity (10° ≤ 2θ ≤ 90°):
| index | d_spacing | Position (°2θ) | I/Imax |
| --- | --- | --- | --- |
| 2 2 0 | 2.655 | 33.76 | 100 |
| 1 1 1 | 4.335 | 20.49 | 64 |
| 4 2 2 | 1.533 | 60.39 | 38 |
| 3 1 1 | 2.264 | 39.82 | 37 |
| 4 0 0 | 1.877 | 48.50 | 18 |
| 6 2 0 | 1.187 | 80.98 | 17 |

Structural model:
a b c (Å): 7.5087 7.5087 7.5087
angles (deg): 90.00 90.00 90.00
Space group F-43m (No. 216)
One atom of each set of equivalent atoms:
Pm 0.0000 0.0000 0.0000 (multiplicity 4)
Mg 0.0000 0.0000 0.5000 (multiplicity 4)
Al 0.2500 0.2500 0.2500 (multiplicity 4)
Bi 0.2500 0.2500 0.7500 (multiplicity 4)